Structure and theoretical powder diffraction line list of Mn6O7F5 (a structure optimized by DFT (GGA+U); CuKα).

Crystal structure
```
Mn6O7F5
1.0
4.7794 0.0000 0.0000
0.4897 5.6155 0.0000
0.5374 0.7172 7.6876
Mn O F
6 7 5
Cartesian
0.0000 0.0000 0.0000
0.5357 3.9664 2.7110
2.6643 2.8347 0.1197
3.3573 5.2516 5.3001
2.9172 1.3163 2.6523
5.2387 2.4427 5.2496
1.9182 2.8013 1.9269
2.4896 5.2321 7.0321
4.0064 5.2397 3.4585
3.4959 1.2077 0.8220
4.1192 3.6468 6.0692
4.4218 2.4882 3.5812
4.4393 0.9166 5.9546
1.4141 5.5310 1.8309
1.5934 2.4175 6.8685
1.6000 3.9565 4.5929
1.9140 1.2620 4.4554
4.3398 3.9689 0.8679
```

Main lines, by angle (5° ≤ 2θ ≤ 70°):
| Position (°2θ) | I_rel |
| --- | --- |
| 25.10 | 100.0 |
| 27.97 | 79.0 |
| 35.00 | 40.7 |
| 35.15 | 40.6 |
| 50.81 | 29.2 |
| 51.15 | 28.3 |
| 51.51 | 15.0 |
| 54.22 | 21.9 |

***

Structure and theoretical powder diffraction line list of Mn3O5F (a structure optimized by DFT (GGA+U); CuKα).

Crystal structure
```
Mn3O5F
1.0
3.0205 0.0000 0.0000
0.0000 4.5385 0.0000
0.0000 0.0000 13.6498
Mn O F
6 10 2
Cartesian
0.0000 0.9934 0.0000
0.0000 0.9985 4.3677
0.0000 1.2653 9.0030
1.5103 3.2732 2.1781
1.5103 3.5399 11.1926
1.5103 3.5450 6.8249
0.0000 2.4294 3.0758
0.0000 2.6073 7.6082
0.0000 4.1781 1.3251
0.0000 4.3353 5.8814
0.0000 4.3984 10.3920
1.5103 0.1400 3.5671
1.5103 0.2031 12.7063
1.5103 0.3603 8.1500
1.5103 1.9312 0.7833
1.5103 2.1091 9.9007
0.0000 2.4888 12.1758
1.5103 2.0497 5.3509
```

Main lines, by angle (5° ≤ 2θ ≤ 70°):
| Position (°2θ) | I_rel |
| --- | --- |
| 27.76 | 100.0 |
| 35.69 | 55.7 |
| 41.01 | 16.6 |
| 54.41 | 57.0 |
| 57.35 | 15.3 |
| 61.39 | 9.4 |
| 68.67 | 12.0 |
| 69.33 | 10.5 |

***

Structure and theoretical powder diffraction line list of Mn6OF11 (a structure optimized by DFT (GGA+U); CuKα).

Crystal structure
```
Mn6OF11
1.0
4.9614 0.0000 0.0000
0.0000 16.2235 0.0000
-0.0557 0.0000 5.8837
Mn O F
12 2 22
Cartesian
1.1018 0.0000 0.3164
1.1130 2.6052 2.4297
1.1903 8.0731 2.3541
1.2117 5.3095 0.4576
1.2314 10.6737 0.5504
1.3034 13.5051 2.4701
3.6023 5.3934 3.4136
3.6744 2.5619 5.3333
3.6941 13.4212 5.4261
3.7155 16.1848 3.5296
3.7927 10.7170 3.4540
3.8040 8.1117 5.5673
0.2215 8.9066 1.0078
4.6842 0.7949 4.8759
-0.0323 8.9060 3.8359
0.0065 3.5720 0.8217
0.1056 6.3085 2.1428
0.1407 11.7244 2.1534
0.1941 14.3559 0.8114
2.2200 1.7453 0.7336
2.2958 4.3976 2.0945
2.3856 7.0824 0.8556
2.4067 9.7368 2.2298
2.4179 12.4822 0.8802
2.4314 7.2114 3.6915
2.4743 15.3231 2.1922
2.4990 1.6251 3.6539
2.4879 4.3704 5.0035
2.5202 15.1942 5.0281
2.6100 12.5094 3.7892
2.6857 9.8571 5.1501
4.7117 6.2442 5.0723
4.7651 3.6126 3.7303
4.8002 14.4203 3.7409
4.8992 11.6837 5.0620
4.9381 0.7942 2.0478
```

Main lines, by angle (5° ≤ 2θ ≤ 70°):
| Position (°2θ) | I_rel |
| --- | --- |
| 23.34 | 42.6 |
| 23.57 | 36.0 |
| 28.66 | 99.7 |
| 28.84 | 100.0 |
| 49.88 | 63.7 |
| 50.81 | 35.7 |
| 51.26 | 28.6 |
| 60.21 | 30.4 |

***

Structure and theoretical powder diffraction line list of Mn6O7F5 (a structure optimized by DFT (GGA+U); CuKα).

Crystal structure
```
Mn6O7F5
1.0
4.5360 -3.2550 0.0000
4.5360 3.2550 0.0000
-2.6653 0.0000 6.8365
Mn O F
6 7 5
Cartesian
0.0000 0.0000 0.0000
-1.2222 0.0000 3.3700
2.0492 0.0000 2.1322
0.9116 0.0000 5.6006
5.4153 0.0000 1.2247
4.5943 0.0000 4.5655
0.9115 1.9868 5.6708
0.7219 0.0000 3.5967
5.5043 1.9641 1.1038
3.5350 0.0000 0.7743
0.9115 -1.9868 5.6708
5.8941 0.0000 3.2309
5.5043 -1.9641 1.1038
-1.1553 0.0000 5.3694
3.3477 1.2015 3.3732
3.0043 0.0000 5.8206
3.3477 -1.2015 3.3732
7.4769 0.0000 1.3625
```

Main lines, by angle (5° ≤ 2θ ≤ 70°):
| Position (°2θ) | I_rel |
| --- | --- |
| 26.94 | 93.7 |
| 27.40 | 100.0 |
| 34.54 | 53.1 |
| 34.69 | 46.1 |
| 52.54 | 29.3 |
| 52.86 | 23.3 |
| 53.18 | 30.7 |
| 53.28 | 27.5 |

***

Structure and theoretical powder diffraction line list of Mn6OF11 (a structure optimized by DFT (GGA+U); CuKα).

Crystal structure
```
Mn6OF11
1.0
4.8274 -3.4240 0.0000
4.8274 3.4240 0.0000
-2.7939 0.0000 7.2419
Mn O F
6 1 11
Cartesian
0.0000 0.0000 0.0000
2.2778 0.2065 2.4073
0.9506 0.2454 6.0986
5.9103 0.2454 1.1433
4.5831 0.2065 4.8345
3.4305 -3.2443 3.6209
4.8274 1.5278 0.0000
0.1255 0.1470 2.1103
2.0961 0.1232 0.2384
-0.1808 -1.1132 4.8523
2.4449 0.1961 4.5642
4.4160 0.1961 2.6777
2.2771 -1.8963 2.4298
4.8274 -1.3314 0.0000
4.7649 0.1232 7.0035
6.7354 0.1470 5.1316
4.5839 -1.8963 4.8121
7.0417 -1.1132 2.3896
```

Main lines, by angle (5° ≤ 2θ ≤ 70°):
| Position (°2θ) | I_rel |
| --- | --- |
| 25.42 | 97.6 |
| 26.02 | 90.8 |
| 32.55 | 100.0 |
| 37.28 | 22.0 |
| 49.50 | 67.6 |
| 50.19 | 58.1 |
| 63.44 | 23.5 |
| 63.50 | 23.2 |

***

Structure and theoretical powder diffraction line list of Mn6O7F5 (a structure optimized by DFT (GGA+U); CuKα).

Crystal structure
```
Mn6O7F5
1.0
3.4126 -3.1974 0.0000
3.4126 3.1974 0.0000
-0.0772 0.0000 9.2292
Mn O F
6 7 5
Cartesian
0.0000 0.0000 0.0000
3.3383 3.0096 3.0000
3.4097 3.0096 6.2292
3.1784 -0.1856 7.6209
3.3740 -0.1954 4.6146
3.5696 -0.1856 1.6083
1.1796 -0.1418 7.7331
3.2475 1.0514 6.1567
3.5005 1.0514 3.0725
3.4126 -1.2997 0.0000
3.2553 -1.4421 6.1452
3.4927 -1.4421 3.0841
5.5683 -0.1418 1.4961
1.2362 -0.1943 4.5093
1.4964 -0.1323 1.5127
3.4126 1.1754 0.0000
5.2516 -0.1323 7.7165
5.5117 -0.1943 4.7199
```

Main lines, by angle (5° ≤ 2θ ≤ 70°):
| Position (°2θ) | I_rel |
| --- | --- |
| 26.11 | 100.0 |
| 27.90 | 94.5 |
| 34.84 | 55.7 |
| 35.03 | 46.7 |
| 51.79 | 31.5 |
| 52.21 | 28.8 |
| 53.97 | 28.1 |
| 67.62 | 29.9 |

***

Structure and theoretical powder diffraction line list of Mn6OF11 (a structure optimized by DFT (GGA+U); CuKα).

Crystal structure
```
Mn6OF11
1.0
4.9133 0.0000 0.0000
0.0023 5.8775 0.0000
0.0316 0.0003 16.2445
Mn O F
12 2 22
Cartesian
0.0000 0.0000 0.0000
0.0167 1.8101 8.1219
0.0325 5.7365 5.3700
0.0989 1.7380 13.6809
2.4061 4.7060 13.6737
2.4619 2.7972 5.3470
2.4875 2.4831 16.2435
2.4743 4.7371 8.1215
2.4837 2.7962 10.8961
2.5418 4.7080 2.5708
4.8462 1.7405 2.5614
4.9152 5.7346 10.8732
1.1314 1.3111 15.4044
3.8146 1.3153 0.8379
1.0705 0.0574 1.7098
1.0922 1.5005 4.3692
1.1479 1.4736 9.9315
1.1475 0.1991 7.1714
1.1724 0.1897 12.6486
1.2487 4.3912 15.4841
1.3007 3.1332 12.6793
1.3376 4.4036 9.9244
1.3462 3.1319 7.1603
1.3939 4.4427 4.4080
1.4292 3.0103 1.7837
3.5186 3.0090 14.4611
3.5534 4.4407 11.8353
3.6007 3.1317 9.0835
3.6095 4.4048 6.3177
3.6466 3.1355 3.5650
3.7016 4.3971 0.7621
3.7715 0.1930 3.5940
3.7971 0.1989 9.0712
3.7971 1.4750 6.3127
3.8520 1.4985 11.8740
3.8746 0.0545 14.5340
```

Main lines, by angle (5° ≤ 2θ ≤ 70°):
| Position (°2θ) | I_rel |
| --- | --- |
| 23.60 | 41.9 |
| 28.86 | 100.0 |
| 39.42 | 20.9 |
| 50.11 | 27.0 |
| 51.33 | 34.4 |
| 56.53 | 14.7 |
| 60.16 | 15.3 |
| 61.19 | 12.4 |

***

Structure and theoretical powder diffraction line list of Mn3O5F (a structure optimized by DFT (GGA+U); CuKα).

Crystal structure
```
Mn3O5F
1.0
5.4270 0.0000 0.0000
1.5389 5.2527 0.0000
2.0176 1.4657 6.5426
Mn O F
6 10 2
Cartesian
0.0000 0.0000 0.0000
1.0088 0.7328 3.2713
2.7241 1.9866 1.0471
3.7599 2.5931 4.3724
5.2236 4.1253 2.1702
6.2594 4.7319 5.4955
2.1499 1.5539 4.6113
3.5816 2.6110 6.2952
2.7190 3.6210 0.0033
4.1255 5.6551 2.1726
3.7521 2.8768 2.4369
5.2314 3.8416 4.1057
4.8580 1.0633 4.3700
6.2645 3.0974 6.5393
5.4019 4.1074 0.2474
6.8336 5.1645 1.9313
2.5016 4.2106 4.4520
6.4819 2.5078 2.0907
```

Main lines, by angle (5° ≤ 2θ ≤ 70°):
| Position (°2θ) | I_rel |
| --- | --- |
| 27.29 | 98.4 |
| 28.25 | 100.0 |
| 35.64 | 57.0 |
| 35.91 | 51.5 |
| 53.65 | 29.0 |
| 54.22 | 29.2 |
| 54.94 | 30.5 |
| 55.13 | 28.1 |

***

Structure and theoretical powder diffraction line list of Mn3O5F (a structure optimized by DFT (GGA+U); CuKα).

Crystal structure
```
Mn3O5F
1.0
6.4155 0.0000 0.0000
0.0000 3.0223 0.0000
-3.1720 0.0000 9.6288
Mn O F
6 10 2
Cartesian
0.0000 0.0000 0.0000
-0.1099 1.5112 3.1342
-0.0925 0.0000 6.6163
3.0264 1.5112 0.1096
3.0925 0.0000 3.2789
3.1174 1.5112 6.4709
-0.1022 0.0000 1.9506
-1.3282 1.5112 6.5278
1.1584 1.5112 0.0192
-0.0315 0.0000 8.4999
1.8403 1.5112 3.3105
1.1368 1.5112 6.4530
3.0976 0.0000 1.3286
3.1360 0.0000 5.2442
4.3476 1.5112 3.2735
3.0569 0.0000 7.7107
-0.1284 0.0000 4.5468
5.0320 1.5112 0.0740
```

Main lines, by angle (5° ≤ 2θ ≤ 70°):
| Position (°2θ) | I_rel |
| --- | --- |
| 27.80 | 100.0 |
| 35.69 | 55.5 |
| 41.03 | 16.2 |
| 54.42 | 29.5 |
| 54.51 | 30.3 |
| 57.44 | 16.3 |
| 68.65 | 12.1 |
| 69.37 | 10.6 |

***

Structure and theoretical powder diffraction line list of Mn8O13F3 (a structure optimized by DFT (GGA+U); CuKα).

Crystal structure
```
Mn8O13F3
1.0
4.5103 0.0000 0.0000
0.1737 7.4338 0.0000
0.2297 0.7603 7.4111
Mn O F
8 13 3
Cartesian
0.0000 0.0000 0.0000
4.6644 1.1954 4.4718
0.2052 4.4834 0.8109
2.5212 6.1822 5.5341
2.5108 6.6303 2.5293
2.4178 2.0719 1.9124
2.5892 3.3266 6.2477
4.6482 3.9987 3.6775
1.3242 7.6566 5.7779
1.2386 2.8218 4.7479
1.1986 3.5769 2.1146
1.2370 6.1515 1.0540
1.2770 0.7934 2.8720
1.4997 4.8795 6.6158
3.5507 7.0831 4.1404
3.3288 0.3920 1.4890
3.5410 4.5127 5.1594
3.4351 2.9582 0.4855
3.6307 1.6793 6.0389
3.6199 4.9822 2.3294
3.6413 2.4336 3.4168
1.3589 5.6016 3.8125
1.2944 1.6072 0.1599
3.8182 6.3914 7.1357
```

Main lines, by angle (5° ≤ 2θ ≤ 70°):
| Position (°2θ) | I_rel |
| --- | --- |
| 25.04 | 63.9 |
| 25.97 | 53.4 |
| 30.80 | 52.0 |
| 30.97 | 46.5 |
| 31.65 | 100.0 |
| 37.21 | 46.6 |
| 54.75 | 25.0 |
| 55.08 | 24.1 |